# 1
Simulated X-ray diffraction stick pattern of Mg2AgSbO6 for Cu Kα (weighted mean of Kα1 and Kα2), from a GGA-PBE-relaxed structure.
Neutral-atom scattering factors, no anomalous dispersion.

```
data_Mg2AgSbO6
_chemical_formula_sum 'Mg4 Ag2 Sb2 O12'
_cell_length_a 5.545
_cell_length_b 7.602
_cell_length_c 5.626
_cell_angle_alpha 90.00
_cell_angle_beta 99.24
_cell_angle_gamma 90.00
_symmetry_space_group_name_H-M 'P 1 21/m 1'
_symmetry_Int_Tables_number 11
_symmetry_space_group_name_Hall '-P 2yb'
loop_
_atom_site_label
_atom_site_type_symbol
_atom_site_fract_x
_atom_site_fract_y
_atom_site_fract_z
Mg1 Mg 0.021 0.250 0.063
Mg2 Mg 0.442 0.750 0.478
Ag1 Ag 0.000 0.000 0.500
Sb1 Sb 0.500 0.000 0.000
O1 O 0.113 0.750 0.603
O2 O 0.153 0.058 0.846
O3 O 0.377 0.750 0.095
O4 O 0.380 0.072 0.292
```

Most intense lines, 10 to 80 degrees two-theta, low angle first:
20.9 deg, d = 4.255 Å, intensity 756
23.4 deg, d = 3.801 Å, intensity 627
24.6 deg, d = 3.618 Å, intensity 533
31.6 deg, d = 2.835 Å, intensity 1000
32.2 deg, d = 2.777 Å, intensity 442
32.7 deg, d = 2.736 Å, intensity 516
34.2 deg, d = 2.621 Å, intensity 772
55.3 deg, d = 1.660 Å, intensity 293



# 2
Simulated X-ray diffraction stick pattern of MgAg2Sb2O6 for Cu Kα (weighted mean of Kα1 and Kα2), from a GGA-PBE-relaxed structure.
Neutral-atom scattering factors, no anomalous dispersion.

```
data_MgAg2Sb2O6
_chemical_formula_sum 'Mg3 Ag6 Sb6 O18'
_cell_length_a 5.6226
_cell_length_b 5.6226
_cell_length_c 17.9198
_cell_angle_alpha 90.00
_cell_angle_beta 90.00
_cell_angle_gamma 120.00
_symmetry_space_group_name_H-M 'R -3'
_symmetry_Int_Tables_number 148
_symmetry_space_group_name_Hall '-R 3'
loop_
_atom_site_label
_atom_site_type_symbol
_atom_site_fract_x
_atom_site_fract_y
_atom_site_fract_z
Mg1 Mg 0.0000 0.0000 0.0000
Ag1 Ag 0.0000 0.0000 0.1652
Sb1 Sb 0.0000 0.0000 0.3445
O1 O 0.0093 0.3162 0.7253
```

Most intense lines, 10 to 80 degrees two-theta, low angle first:
20.8 deg, d = 4.278 Å, intensity 479
27.0 deg, d = 3.297 Å, intensity 517
29.9 deg, d = 2.987 Å, intensity 331
31.8 deg, d = 2.811 Å, intensity 984
44.2 deg, d = 2.047 Å, intensity 1000
56.7 deg, d = 1.623 Å, intensity 305
65.4 deg, d = 1.426 Å, intensity 216
74.6 deg, d = 1.272 Å, intensity 195



# 3
Simulated X-ray diffraction stick pattern of MgAg2Sb2O6 for Cu Kα (weighted mean of Kα1 and Kα2), from a GGA-PBE-relaxed structure.
Neutral-atom scattering factors, no anomalous dispersion.

```
data_MgAg2Sb2O6
_chemical_formula_sum 'Mg3 Ag6 Sb6 O18'
_cell_length_a 5.8104
_cell_length_b 5.8104
_cell_length_c 15.6044
_cell_angle_alpha 90.00
_cell_angle_beta 90.00
_cell_angle_gamma 120.00
_symmetry_space_group_name_H-M 'R -3'
_symmetry_Int_Tables_number 148
_symmetry_space_group_name_Hall '-R 3'
loop_
_atom_site_label
_atom_site_type_symbol
_atom_site_fract_x
_atom_site_fract_y
_atom_site_fract_z
Mg1 Mg 0.0000 0.0000 0.0000
Ag1 Ag 0.0000 0.0000 0.4032
Sb1 Sb 0.0000 0.0000 0.1895
O1 O 0.0353 0.2871 0.9061
```

Most intense lines, 10 to 80 degrees two-theta, low angle first:
17.0 deg, d = 5.201 Å, intensity 174
30.8 deg, d = 2.905 Å, intensity 1000
33.8 deg, d = 2.652 Å, intensity 782
46.4 deg, d = 1.959 Å, intensity 405
54.7 deg, d = 1.677 Å, intensity 263
56.7 deg, d = 1.624 Å, intensity 404
62.3 deg, d = 1.490 Å, intensity 185
74.5 deg, d = 1.274 Å, intensity 147



# 4
Simulated X-ray diffraction stick pattern of MgAg2Sn2O6 for Cu Kα (weighted mean of Kα1 and Kα2), from a GGA-PBE-relaxed structure.
Neutral-atom scattering factors, no anomalous dispersion.

```
data_MgAg2Sn2O6
_chemical_formula_sum 'Mg1 Ag2 Sn2 O6'
_cell_length_a 3.162
_cell_length_b 7.014
_cell_length_c 7.045
_cell_angle_alpha 69.01
_cell_angle_beta 89.80
_cell_angle_gamma 89.80
_symmetry_space_group_name_H-M 'P 1'
_symmetry_Int_Tables_number 1
_symmetry_space_group_name_Hall 'P 1'
loop_
_atom_site_label
_atom_site_type_symbol
_atom_site_fract_x
_atom_site_fract_y
_atom_site_fract_z
Mg1 Mg 0.000 0.000 0.000
Ag1 Ag 0.500 0.280 0.718
Ag2 Ag 0.500 0.682 0.317
Sn1 Sn 0.000 0.199 0.305
Sn2 Sn 0.000 0.693 0.800
O1 O 0.001 0.376 0.983
O2 O 0.498 0.354 0.362
O3 O 0.498 0.798 0.962
O4 O 0.502 0.037 0.202
O5 O 0.502 0.635 0.646
O6 O 0.999 0.017 0.622
```

Most intense lines, 10 to 80 degrees two-theta, low angle first:
27.1 deg, d = 3.289 Å, intensity 1000
27.2 deg, d = 3.274 Å, intensity 997
30.9 deg, d = 2.896 Å, intensity 905
32.2 deg, d = 2.780 Å, intensity 963
32.3 deg, d = 2.770 Å, intensity 958
36.3 deg, d = 2.476 Å, intensity 811
48.2 deg, d = 1.888 Å, intensity 433
48.4 deg, d = 1.882 Å, intensity 786



# 5
Simulated X-ray diffraction stick pattern of Y4MgAg4O12 for Cu Kα (weighted mean of Kα1 and Kα2), from a GGA-PBE-relaxed structure.
Neutral-atom scattering factors, no anomalous dispersion.

```
data_Y4MgAg4O12
_chemical_formula_sum 'Y4 Mg1 Ag4 O12'
_cell_length_a 6.203
_cell_length_b 7.080
_cell_length_c 6.964
_cell_angle_alpha 90.00
_cell_angle_beta 107.07
_cell_angle_gamma 90.00
_symmetry_space_group_name_H-M 'P 1 m 1'
_symmetry_Int_Tables_number 6
_symmetry_space_group_name_Hall 'P -2y'
loop_
_atom_site_label
_atom_site_type_symbol
_atom_site_fract_x
_atom_site_fract_y
_atom_site_fract_z
Y1 Y 0.000 0.000 0.000
Y2 Y 0.072 0.500 0.262
Y3 Y 0.472 0.000 0.577
Y4 Y 0.610 0.500 0.659
Mg1 Mg 0.186 0.500 0.836
Ag1 Ag 0.007 0.203 0.576
Ag2 Ag 0.518 0.247 0.114
O1 O 0.179 0.301 0.035
O2 O 0.235 0.000 0.769
O3 O 0.316 0.305 0.498
O4 O 0.441 0.000 0.238
O5 O 0.535 0.500 0.957
O6 O 0.757 0.196 0.740
O7 O 0.857 0.218 0.199
O8 O 0.924 0.500 0.556
```

Most intense lines, 10 to 80 degrees two-theta, low angle first:
26.1 deg, d = 3.414 Å, intensity 275
26.8 deg, d = 3.329 Å, intensity 624
30.1 deg, d = 2.965 Å, intensity 525
30.4 deg, d = 2.937 Å, intensity 1000
34.1 deg, d = 2.630 Å, intensity 408
34.2 deg, d = 2.620 Å, intensity 677
48.4 deg, d = 1.879 Å, intensity 215
51.2 deg, d = 1.785 Å, intensity 353



# 6
Simulated X-ray diffraction stick pattern of MgZn2Ag4O8 for Cu Kα (weighted mean of Kα1 and Kα2), from a GGA-PBE-relaxed structure.
Neutral-atom scattering factors, no anomalous dispersion.

```
data_MgZn2Ag4O8
_chemical_formula_sum 'Mg1 Zn2 Ag4 O8'
_cell_length_a 3.134
_cell_length_b 8.369
_cell_length_c 8.571
_cell_angle_alpha 102.42
_cell_angle_beta 98.00
_cell_angle_gamma 95.24
_symmetry_space_group_name_H-M 'P -1'
_symmetry_Int_Tables_number 2
_symmetry_space_group_name_Hall '-P 1'
loop_
_atom_site_label
_atom_site_type_symbol
_atom_site_fract_x
_atom_site_fract_y
_atom_site_fract_z
Mg1 Mg 0.000 0.000 0.000
Zn1 Zn 0.262 0.705 0.297
Ag1 Ag 0.147 0.948 0.668
Ag2 Ag 0.401 0.671 0.956
O1 O 0.014 0.218 0.192
O2 O 0.164 0.170 0.571
O3 O 0.311 0.417 0.835
O4 O 0.494 0.095 0.886
```

Most intense lines, 10 to 80 degrees two-theta, low angle first:
10.7 deg, d = 8.258 Å, intensity 475
10.9 deg, d = 8.109 Å, intensity 455
13.4 deg, d = 6.598 Å, intensity 817
29.3 deg, d = 3.053 Å, intensity 391
32.4 deg, d = 2.765 Å, intensity 1000
32.5 deg, d = 2.753 Å, intensity 443
33.1 deg, d = 2.703 Å, intensity 423
35.9 deg, d = 2.500 Å, intensity 487